1.
Starting from the PBE geometry in OQMD, the PXRD pattern of Ba2TcNiN6 was simulated for a wavelength of 1.5418 Å.

Principal peaks in the range 10° ≤ 2θ ≤ 90°, in order of rising 2θ:
2θ/deg, I_rel
19.19, 2
22.19, 3
31.59, 100
38.94, 7
45.28, 28
50.98, 2
56.25, 39
65.96, 17
70.53, 1
74.98, 17
79.33, 2
83.63, 6

Lattice parameters (Å, degrees): 5.665 5.665 5.665 60.00 60.00 60.00
Fractional positions:
Ba 0.250 0.250 0.250
Ba 0.750 0.750 0.750
Tc 0.000 0.000 0.000
Ni 0.500 0.500 0.500
N 0.248 0.248 0.752
N 0.248 0.752 0.248
N 0.248 0.752 0.752
N 0.752 0.248 0.248
N 0.752 0.248 0.752
N 0.752 0.752 0.248

---

2.
Starting from the PBE geometry in OQMD, the PXRD pattern of Sm2O3 was simulated for a wavelength of 1.5418 Å.

Principal peaks in the range 10° ≤ 2θ ≤ 90°, in order of rising 2θ:
2θ/deg, I_rel
19.94, 9
28.35, 100
32.85, 34
34.90, 5
42.25, 8
47.14, 40
55.92, 33
57.29, 6
58.64, 7
76.08, 9
78.42, 7
87.66, 6

Lattice parameters (Å, degrees): 9.446 9.446 9.446 109.47 109.47 109.47
Fractional positions:
Sm 0.000 0.000 0.000
Sm 0.000 0.500 0.500
Sm 0.031 0.781 0.250
Sm 0.219 0.750 0.969
Sm 0.250 0.031 0.781
Sm 0.250 0.531 0.281
Sm 0.281 0.250 0.531
Sm 0.469 0.719 0.750
Sm 0.500 0.000 0.500
Sm 0.500 0.500 0.000
Sm 0.531 0.281 0.250
Sm 0.719 0.750 0.469
Sm 0.750 0.469 0.719
Sm 0.750 0.969 0.219
Sm 0.781 0.250 0.031
Sm 0.969 0.219 0.750
O 0.013 0.471 0.741
O 0.029 0.041 0.270
O 0.041 0.270 0.029
O 0.228 0.459 0.487
O 0.230 0.272 0.759
O 0.241 0.770 0.728
O 0.259 0.987 0.529
O 0.270 0.029 0.041
O 0.272 0.759 0.230
O 0.459 0.487 0.228
O 0.471 0.741 0.013
O 0.487 0.228 0.459
O 0.513 0.772 0.541
O 0.529 0.259 0.987
O 0.541 0.513 0.772
O 0.728 0.241 0.770
O 0.730 0.971 0.959
O 0.741 0.013 0.471
O 0.759 0.230 0.272
O 0.770 0.728 0.241
O 0.772 0.541 0.513
O 0.959 0.730 0.971
O 0.971 0.959 0.730
O 0.987 0.529 0.259

---

3.
Starting from the PBE geometry in OQMD, the PXRD pattern of LaNdCuSi3 was simulated for a wavelength of 1.5418 Å.

Principal peaks in the range 10° ≤ 2θ ≤ 90°, in order of rising 2θ:
2θ/deg, I_rel
20.52, 6
25.22, 31
32.73, 100
41.74, 12
44.43, 31
49.40, 14
56.26, 21
62.59, 22
70.51, 13
74.33, 12
74.44, 6
87.26, 6

Lattice parameters (Å, degrees): 8.290 8.160 5.944 69.99 67.66 42.36
Fractional positions:
La 0.250 0.250 0.250
La 0.750 0.750 0.750
Nd 0.243 0.757 0.243
Nd 0.757 0.243 0.757
Cu 0.334 0.334 0.666
Cu 0.666 0.666 0.334
Si 0.168 0.168 0.832
Si 0.171 0.662 0.829
Si 0.338 0.829 0.662
Si 0.662 0.171 0.338
Si 0.829 0.338 0.171
Si 0.832 0.832 0.168